Structure and theoretical X-ray powder pattern of LuNbSn2Pd2 (a crystal structure in OQMD, relaxed with GGA-PBE; Cu Kα (λ = 1.5418 Å)).
Intensities are scaled so that the largest is 100.

Structural model:
abc: 4.4805 8.9960 6.3709
angles: 90.00 90.00 90.00
Space group Pmn2_1 (No. 31)
Inequivalent atoms, fractional coordinates:
Lu1 0.0000 0.1223 0.0000 [2 per cell]
Nb1 0.0000 0.6261 0.9992 [2 per cell]
Sn1 0.0000 0.1300 0.5063 [2 per cell]
Sn2 0.0000 0.6217 0.4933 [2 per cell]
Pd1 0.0000 0.3842 0.7450 [2 per cell]
Pd2 0.0000 0.8636 0.7563 [2 per cell]

Peak list (10 most intense, 10° ≤ 2θ ≤ 90°, by intensity)
d/Å  I_rel
2.249  100
3.670  28
3.178  26
1.299  20
2.240  20
1.295  14
1.587  13
1.124  11
1.918  8
1.298  7